[1]
Calculated powder X-ray diffraction pattern of K2SrCdBiSb for Cu Kα (weighted mean of Kα1 and Kα2), from a DFT-relaxed cell (PBE, OQMD).
Intensities are scaled so that the largest is 100.

Peak list (8 most intense, 2θ from 15° to 90°, by intensity)
29.1°, I = 100.0
31.9°, I = 85.5
35.6°, I = 55.2
22.4°, I = 51.4
27.2°, I = 49.2
41.4°, I = 48.8
38.0°, I = 43.5
52.2°, I = 42.4

Structure:
```
data_K2SrCdBiSb
_space_group_name_H-M_alt 'P m c 21'
_space_group_IT_number 26
_cell_length_a 5.041
_cell_length_b 10.115
_cell_length_c 8.355
_cell_angle_alpha 90.00
_cell_angle_beta 90.00
_cell_angle_gamma 90.00
loop_
_space_group_symop_operation_xyz
'x,y,z'
'-x,-y,z+1/2'
'-x,y,z'
'x,-y,z+1/2'
loop_
_atom_site_label
_atom_site_type_symbol
_atom_site_fract_x
_atom_site_fract_y
_atom_site_fract_z
_atom_site_occupancy
K1 K 0.000 0.083 0.000 1
K2 K 0.500 0.168 0.687 1
Sr1 Sr 0.500 0.455 0.034 1
Cd1 Cd 0.000 0.328 0.381 1
Bi1 Bi 0.500 0.182 0.278 1
Sb1 Sb 0.000 0.393 0.749 1
```

[2]
Calculated powder X-ray diffraction pattern of NaAgWSe3 for Cu Kα (weighted mean of Kα1 and Kα2), from a DFT-relaxed cell (PBE, OQMD).
Intensities are scaled so that the largest is 100.

Peak list (8 most intense, 2θ from 15° to 90°, by intensity)
36.1°, I = 100.0
35.3°, I = 69.3
32.6°, I = 58.9
31.4°, I = 54.3
42.4°, I = 51.1
44.6°, I = 34.0
47.9°, I = 29.5
55.1°, I = 29.4

Structure:
```
data_NaAgWSe3
_space_group_name_H-M_alt 'C m c m'
_space_group_IT_number 63
_space_group_name_Hall '-C 2c 2'
_cell_length_a 3.587
_cell_length_b 14.106
_cell_length_c 10.172
_cell_angle_alpha 90.00
_cell_angle_beta 90.00
_cell_angle_gamma 90.00
loop_
_atom_site_label
_atom_site_type_symbol
_atom_site_fract_x
_atom_site_fract_y
_atom_site_fract_z
_atom_site_occupancy
Na1 Na 0.000 0.249 0.250 1
Ag1 Ag 0.000 0.065 0.750 1
W1 W 0.000 0.500 0.000 1
Se1 Se 0.000 0.134 0.521 1
Se2 Se 0.000 0.425 0.750 1
```

[3]
Calculated powder X-ray diffraction pattern of K2DyS2 for Cu Kα (weighted mean of Kα1 and Kα2), from a DFT-relaxed cell (PBE, OQMD).
Intensities are scaled so that the largest is 100.

Peak list (8 most intense, 2θ from 15° to 90°, by intensity)
34.2°, I = 100.0
35.0°, I = 93.5
19.2°, I = 86.5
23.7°, I = 70.4
19.0°, I = 68.1
28.2°, I = 67.5
35.5°, I = 59.8
32.0°, I = 58.2

Structure:
```
data_K2DyS2
_space_group_name_H-M_alt 'P b c m'
_space_group_IT_number 57
_cell_length_a 11.195
_cell_length_b 8.509
_cell_length_c 6.330
_cell_angle_alpha 90.00
_cell_angle_beta 90.00
_cell_angle_gamma 90.00
loop_
_space_group_symop_operation_xyz
'x,y,z'
'-x,-y,-z'
'-x,-y,z+1/2'
'x,y,-z+1/2'
'x,-y+1/2,-z'
'-x,y+1/2,z'
'-x,y+1/2,-z+1/2'
'x,-y+1/2,z+1/2'
loop_
_atom_site_label
_atom_site_type_symbol
_atom_site_fract_x
_atom_site_fract_y
_atom_site_fract_z
_atom_site_occupancy
K1 K 0.099 0.036 0.250 1
K2 K 0.355 0.250 0.000 1
Dy1 Dy 0.351 0.630 0.250 1
S1 S 0.171 0.058 0.750 1
S2 S 0.440 0.569 0.750 1
```

[4]
Calculated powder X-ray diffraction pattern of CdPt10 for Cu Kα (weighted mean of Kα1 and Kα2), from a DFT-relaxed cell (PBE, OQMD).
Intensities are scaled so that the largest is 100.

Peak list (8 most intense, 2θ from 15° to 90°, by intensity)
38.4°, I = 100.0
40.0°, I = 86.9
46.4°, I = 52.5
39.3°, I = 51.3
40.6°, I = 43.3
66.8°, I = 37.1
45.2°, I = 32.5
45.1°, I = 28.2

Structure:
```
data_CdPt10
_space_group_name_H-M_alt 'C 1 2/m 1'
_space_group_IT_number 12
_cell_length_a 8.788
_cell_length_b 3.912
_cell_length_c 34.011
_cell_angle_alpha 90.00
_cell_angle_beta 90.53
_cell_angle_gamma 90.00
loop_
_space_group_symop_operation_xyz
'x,y,z'
'-x,-y,-z'
'-x,y,-z'
'x,-y,z'
'x+1/2,y+1/2,z'
'-x+1/2,-y+1/2,-z'
'-x+1/2,y+1/2,-z'
'x+1/2,-y+1/2,z'
loop_
_atom_site_label
_atom_site_type_symbol
_atom_site_fract_x
_atom_site_fract_y
_atom_site_fract_z
_atom_site_occupancy
Cd1 Cd 0.154 0.000 0.284 1
Pt1 Pt 0.045 0.500 0.229 1
Pt2 Pt 0.050 0.500 0.960 1
Pt3 Pt 0.051 0.000 0.093 1
Pt4 Pt 0.051 0.000 0.827 1
Pt5 Pt 0.150 0.000 0.013 1
Pt6 Pt 0.150 0.500 0.147 1
Pt7 Pt 0.150 0.500 0.880 1
Pt8 Pt 0.151 0.000 0.748 1
Pt9 Pt 0.247 0.000 0.200 1
Pt10 Pt 0.250 0.000 0.933 1
```

[5]
Calculated powder X-ray diffraction pattern of Na2Th2Sn for Cu Kα (weighted mean of Kα1 and Kα2), from a DFT-relaxed cell (PBE, OQMD).
Intensities are scaled so that the largest is 100.

Peak list (8 most intense, 2θ from 15° to 90°, by intensity)
21.9°, I = 100.0
28.5°, I = 60.4
33.4°, I = 45.2
38.9°, I = 30.2
38.3°, I = 27.9
40.8°, I = 23.5
55.2°, I = 19.9
49.5°, I = 15.3

Structure:
```
data_Na2Th2Sn
_space_group_name_H-M_alt 'F d d d'
_space_group_IT_number 70
_cell_length_a 7.982
_cell_length_b 10.117
_cell_length_c 15.921
_cell_angle_alpha 90.00
_cell_angle_beta 90.00
_cell_angle_gamma 90.00
loop_
_space_group_symop_operation_xyz
'x,y,z'
'-x,-y,-z'
'-x+1/4,-y+1/4,z'
'x+1/4,y+1/4,-z'
'x,-y+1/4,-z+1/4'
'-x,y+1/4,z+1/4'
'-x+1/4,y,-z+1/4'
'x+1/4,-y,z+1/4'
'x,y+1/2,z+1/2'
'-x,-y+1/2,-z+1/2'
'-x+1/4,-y+3/4,z+1/2'
'x+1/4,y+3/4,-z+1/2'
'x,-y+3/4,-z+3/4'
'-x,y+3/4,z+3/4'
'-x+1/4,y+1/2,-z+3/4'
'x+1/4,-y+1/2,z+3/4'
'x+1/2,y,z+1/2'
'-x+1/2,-y,-z+1/2'
'-x+3/4,-y+1/4,z+1/2'
'x+3/4,y+1/4,-z+1/2'
'x+1/2,-y+1/4,-z+3/4'
'-x+1/2,y+1/4,z+3/4'
'-x+3/4,y,-z+3/4'
'x+3/4,-y,z+3/4'
'x+1/2,y+1/2,z'
'-x+1/2,-y+1/2,-z'
'-x+3/4,-y+3/4,z'
'x+3/4,y+3/4,-z'
'x+1/2,-y+3/4,-z+1/4'
'-x+1/2,y+3/4,z+1/4'
'-x+3/4,y+1/2,-z+1/4'
'x+3/4,-y+1/2,z+1/4'
loop_
_atom_site_label
_atom_site_type_symbol
_atom_site_fract_x
_atom_site_fract_y
_atom_site_fract_z
_atom_site_occupancy
Na1 Na 0.000 0.000 0.000 1
Th1 Th 0.125 0.125 0.459 1
Sn1 Sn 0.125 0.125 0.125 1
```

[6]
Calculated powder X-ray diffraction pattern of K3DyCl6 for Cu Kα (weighted mean of Kα1 and Kα2), from a DFT-relaxed cell (PBE, OQMD).
Intensities are scaled so that the largest is 100.

Peak list (8 most intense, 2θ from 15° to 90°, by intensity)
16.3°, I = 100.0
23.2°, I = 81.8
23.5°, I = 77.2
33.0°, I = 70.0
42.0°, I = 52.5
37.0°, I = 49.7
27.6°, I = 44.7
41.4°, I = 44.3

Structure:
```
data_K3DyCl6
_space_group_name_H-M_alt 'P 1 21/c 1'
_space_group_IT_number 14
_cell_length_a 7.459
_cell_length_b 7.904
_cell_length_c 12.909
_cell_angle_alpha 90.00
_cell_angle_beta 124.21
_cell_angle_gamma 90.00
loop_
_space_group_symop_operation_xyz
'x,y,z'
'-x,-y,-z'
'-x,y+1/2,-z+1/2'
'x,-y+1/2,z+1/2'
loop_
_atom_site_label
_atom_site_type_symbol
_atom_site_fract_x
_atom_site_fract_y
_atom_site_fract_z
_atom_site_occupancy
K1 K 0.000 0.000 0.000 1
K2 K 0.214 0.072 0.743 1
Dy1 Dy 0.500 0.000 0.500 1
Cl1 Cl 0.159 0.181 0.443 1
Cl2 Cl 0.254 0.724 0.423 1
Cl3 Cl 0.402 0.057 0.272 1
```